Structure and simulated PXRD pattern of Pr4PtSBr2 (the PBE geometry in Alexandria; Cu Kα X-rays).

Atomic structure:
```
Pr4PtSBr2
1.0
7.4231 0.0000 0.0000
0.0000 4.1191 0.0000
-2.3799 0.0000 7.4584
Pr Pt S Br
4 1 1 2
direct
0.2269 0.0000 0.2088 Pr
0.2712 0.5000 0.7911 Pr
0.7288 0.5000 0.2089 Pr
0.7731 0.0000 0.7912 Pr
0.5000 0.0000 0.0000 Pt
0.0000 0.5000 0.0000 S
0.0000 0.0000 0.5000 Br
0.5000 0.5000 0.5000 Br
```

Top 10 peaks for 5 to 70 degrees two-theta, in order of rising 2θ:
2θ 11.87, I = 207, (0 0 1)
2θ 29.04, I = 549, (2 0 -2)
2θ 29.41, I = 1000, (1 1 1)
2θ 40.12, I = 160, (2 0 2)
2θ 40.98, I = 348, (1 1 -3)
2θ 42.63, I = 392, (3 1 -1)
2θ 43.96, I = 182, (0 2 0)
2θ 51.72, I = 160, (4 0 0)
2θ 53.56, I = 197, (2 2 -2)
2θ 69.56, I = 124, (5 1 -3)